Computed PXRD pattern of Ba3Fe2WO9 for a wavelength of 1.5418 Å, from a cell relaxed with GGA+U.
Lines closer than 0.1° are merged.

Largest 12 diffraction maxima, low angle first, 2θ from 15° to 90°:
- (1 0 1), 4.784 Å, I 8
- (1 0 3), 3.484 Å, I 20
- (1 1 0), 2.930 Å, I 100
- (1 0 5), 2.501 Å, I 11
- (2 0 3), 2.242 Å, I 12
- (2 0 4), 2.073 Å, I 21
- (2 0 5), 1.903 Å, I 16
- (3 0 0), 1.692 Å, I 29
- (2 0 7), 1.596 Å, I 12
- (2 2 0), 1.465 Å, I 14
- (3 1 4), 1.310 Å, I 8
- (4 1 0), 1.107 Å, I 11

abc: 5.8583 5.8583 14.3766
angles: 90.00 90.00 120.00
Sites, in units of the cell vectors:
Ba  0.0000  0.0000  0.0000
Ba  0.0000  0.0000  0.5000
Ba  0.3333  0.6667  0.1689
Ba  0.3333  0.6667  0.8547
Ba  0.6667  0.3333  0.3547
Ba  0.6667  0.3333  0.6689
Fe  0.0000  0.0000  0.2614
Fe  0.0000  0.0000  0.7614
Fe  0.3333  0.6667  0.4001
Fe  0.6667  0.3333  0.9001
W  0.3333  0.6667  0.5973
W  0.6667  0.3333  0.0973
O  0.0317  0.5158  0.5102
O  0.1648  0.3297  0.3349
O  0.1648  0.8352  0.3349
O  0.1715  0.3431  0.6700
O  0.1715  0.8285  0.6700
O  0.3297  0.1648  0.8349
O  0.3431  0.1715  0.1700
O  0.4842  0.5158  0.5102
O  0.4842  0.9683  0.5102
O  0.5158  0.0317  0.0102
O  0.5158  0.4842  0.0102
O  0.6569  0.8285  0.6700
O  0.6703  0.8352  0.3349
O  0.8285  0.1715  0.1700
O  0.8285  0.6569  0.1700
O  0.8352  0.1648  0.8349
O  0.8352  0.6703  0.8349
O  0.9683  0.4842  0.0102